This entry pairs a crystal structure of Cs2NpF5 with its computed X-ray diffraction stick pattern. Radiation: λ = 1.5418 Å (Cu Kα). Structure: a cell relaxed with GGA-PBE.
Lines closer than 0.1° are merged.

Largest 8 diffraction maxima, sorted by position, 2θ = 10–90°:
hkl 1 0 0, 2θ = 12.7°, d = 6.987 Å, I = 832
hkl 1 0 1, 2θ = 23.1°, d = 3.853 Å, I = 301
hkl 2 0 0, 2θ = 25.5°, d = 3.493 Å, I = 456
hkl 1 1 1, 2θ = 26.4°, d = 3.374 Å, I = 1000
hkl 2 1 0, 2θ = 28.6°, d = 3.125 Å, I = 212
hkl 2 2 0, 2θ = 36.4°, d = 2.470 Å, I = 332
hkl 3 1 1, 2θ = 45.5°, d = 1.993 Å, I = 455
hkl 2 2 2, 2θ = 54.4°, d = 1.687 Å, I = 201

Atomic structure:
Unit cell a=6.9866 b=6.9866 c=4.6192 alpha=90.00 beta=90.00 gamma=90.00
Atoms (fractional coordinates):
1 Cs 0.0000 0.5000 0.0000
2 Cs 0.5000 0.0000 0.0000
3 Np 0.0000 0.0000 0.5000
4 F 0.0000 0.0000 0.0000
5 F 0.2283 0.2283 0.5000
6 F 0.2283 0.7717 0.5000
7 F 0.7717 0.2283 0.5000
8 F 0.7717 0.7717 0.5000